[1]
This entry pairs a crystal structure of CsRb2BiF8 with its computed powder diffraction line list. Radiation: Cu Kα, 1.54184 Å. Structure: DFT lattice parameters and positions (GGA-PBE).

Principal peaks in the range 2θ from 10° to 90°, by intensity:
d [Å]  2θ/deg  I_rel
3.628  24.5  100
2.224  40.6  37
1.892  48.1  31
5.616  15.8  28
2.217  40.7  19
3.136  28.5  18
1.900  47.9  15
1.443  64.6  15
1.403  66.7  11
1.814  50.3  10
1.281  74.0  10
3.154  28.3  9

Crystal structure
```
data_CsRb2BiF8
_chemical_formula_sum 'Cs2 Rb4 Bi2 F16'
_symmetry_space_group_name_H-M 'I -4 m 2'
_symmetry_Int_Tables_number 119
_symmetry_space_group_name_Hall 'I -4 -2'
_cell_length_a 6.2714
_cell_length_b 6.2714
_cell_length_c 12.6172
_cell_angle_alpha 90.00
_cell_angle_beta 90.00
_cell_angle_gamma 90.00
loop_
_atom_site_label
_atom_site_type_symbol
_atom_site_fract_x
_atom_site_fract_y
_atom_site_fract_z
Cs1 Cs 0.0000 0.0000 0.0000
Rb1 Rb 0.0000 0.0000 0.5000
Rb2 Rb 0.0000 0.5000 0.7500
Bi1 Bi 0.0000 0.5000 0.2500
F1 F 0.1993 0.2972 0.3500
```



[2]
This entry pairs a crystal structure of Cs2BiSeF6 with its computed powder diffraction line list. Radiation: Cu Kα, 1.54184 Å. Structure: DFT lattice parameters and positions (GGA-PBE).

Principal peaks in the range 2θ from 10° to 90°, by intensity:
d [Å]  2θ/deg  I_rel
3.572  24.9  100
3.228  27.6  37
1.923  47.3  36
2.282  39.5  25
2.867  31.2  22
2.144  42.2  21
1.786  51.1  21
5.626  15.8  20
1.763  51.9  16
1.395  67.1  15
1.406  66.5  9
1.289  73.4  9

Crystal structure
```
data_Cs2BiSeF6
_chemical_formula_sum 'Cs4 Bi2 Se2 F12'
_symmetry_space_group_name_H-M 'I 4/m m m'
_symmetry_Int_Tables_number 139
_symmetry_space_group_name_Hall '-I 4 2'
_cell_length_a 6.4559
_cell_length_b 6.4559
_cell_length_c 11.4699
_cell_angle_alpha 90.00
_cell_angle_beta 90.00
_cell_angle_gamma 90.00
loop_
_atom_site_label
_atom_site_type_symbol
_atom_site_fract_x
_atom_site_fract_y
_atom_site_fract_z
Cs1 Cs 0.0000 0.5000 0.2500
Bi1 Bi 0.0000 0.0000 0.0000
Se1 Se 0.0000 0.0000 0.5000
F1 F 0.0000 0.0000 0.1962
F2 F 0.2492 0.2492 0.0000
```



[3]
This entry pairs a crystal structure of Cs2YBiF6 with its computed powder diffraction line list. Radiation: Cu Kα, 1.54184 Å. Structure: DFT lattice parameters and positions (GGA-PBE).

Principal peaks in the range 2θ from 10° to 90°, by intensity:
d [Å]  2θ/deg  I_rel
3.441  25.9  100
3.713  24.0  62
2.087  43.4  48
2.625  34.2  39
1.720  53.2  21
1.941  46.8  21
1.387  67.5  15
1.660  55.3  14
1.342  70.1  14
2.278  39.6  14
1.634  56.3  14
1.856  49.1  13

Crystal structure
```
data_Cs2YBiF6
_chemical_formula_sum 'Cs4 Y2 Bi2 F12'
_symmetry_space_group_name_H-M 'I 4/m m m'
_symmetry_Int_Tables_number 139
_symmetry_space_group_name_Hall '-I 4 2'
_cell_length_a 7.4251
_cell_length_b 7.4251
_cell_length_c 9.1110
_cell_angle_alpha 90.00
_cell_angle_beta 90.00
_cell_angle_gamma 90.00
loop_
_atom_site_label
_atom_site_type_symbol
_atom_site_fract_x
_atom_site_fract_y
_atom_site_fract_z
Cs1 Cs 0.0000 0.5000 0.2500
Y1 Y 0.0000 0.0000 0.0000
Bi1 Bi 0.0000 0.0000 0.5000
F1 F 0.0000 0.0000 0.2439
F2 F 0.2070 0.2070 0.0000
```



[4]
This entry pairs a crystal structure of Cs2Ga3Bi5 with its computed powder diffraction line list. Radiation: Cu Kα, 1.54184 Å. Structure: DFT lattice parameters and positions (GGA-PBE).

Principal peaks in the range 2θ from 10° to 90°, by intensity:
d [Å]  2θ/deg  I_rel
2.690  33.3  100
3.254  27.4  74
3.164  28.2  67
3.304  27.0  60
6.128  14.5  38
2.359  38.2  35
2.415  37.2  31
3.040  29.4  29
3.451  25.8  27
2.111  42.8  21
2.037  44.5  20
1.847  49.3  20

Crystal structure
```
data_Cs2Ga3Bi5
_chemical_formula_sum 'Cs8 Ga12 Bi20'
_symmetry_space_group_name_H-M 'I b a m'
_symmetry_Int_Tables_number 72
_symmetry_space_group_name_Hall '-I 2 2c'
_cell_length_a 12.2566
_cell_length_b 15.6923
_cell_length_c 7.3891
_cell_angle_alpha 90.00
_cell_angle_beta 90.00
_cell_angle_gamma 90.00
loop_
_atom_site_label
_atom_site_type_symbol
_atom_site_fract_x
_atom_site_fract_y
_atom_site_fract_z
Cs1 Cs 0.2354 0.1285 0.0000
Ga1 Ga 0.0000 0.0000 0.2500
Ga2 Ga 0.1358 0.3845 0.0000
Bi1 Bi 0.0000 0.2778 0.2500
Bi2 Bi 0.0000 0.5000 0.2500
Bi3 Bi 0.1163 0.1166 0.5000
```



[5]
This entry pairs a crystal structure of Cs2Ga2Bi with its computed powder diffraction line list. Radiation: Cu Kα, 1.54184 Å. Structure: DFT lattice parameters and positions (GGA-PBE).

Principal peaks in the range 2θ from 10° to 90°, by intensity:
d [Å]  2θ/deg  I_rel
3.084  29.0  100
3.509  25.4  74
2.660  33.7  63
3.230  27.6  40
1.872  48.6  37
1.631  56.4  31
1.921  47.3  24
1.651  55.7  23
1.765  51.8  19
1.685  54.4  19
2.717  33.0  18
1.300  72.7  14

Crystal structure
```
data_Cs2Ga2Bi
_chemical_formula_sum 'Cs4 Ga4 Bi2'
_symmetry_space_group_name_H-M 'I 4/m m m'
_symmetry_Int_Tables_number 139
_symmetry_space_group_name_Hall '-I 4 2'
_cell_length_a 3.8429
_cell_length_b 3.8429
_cell_length_c 25.8380
_cell_angle_alpha 90.00
_cell_angle_beta 90.00
_cell_angle_gamma 90.00
loop_
_atom_site_label
_atom_site_type_symbol
_atom_site_fract_x
_atom_site_fract_y
_atom_site_fract_z
Cs1 Cs 0.0000 0.0000 0.1100
Ga1 Ga 0.0000 0.5000 0.2500
Bi1 Bi 0.0000 0.0000 0.5000
```



[6]
This entry pairs a crystal structure of Cs2LiGaBi2 with its computed powder diffraction line list. Radiation: Cu Kα, 1.54184 Å. Structure: DFT lattice parameters and positions (GGA-PBE).

Principal peaks in the range 2θ from 10° to 90°, by intensity:
d [Å]  2θ/deg  I_rel
3.352  26.6  100
2.034  44.5  78
3.619  24.6  66
2.559  35.1  42
2.804  31.9  39
1.592  57.9  37
4.434  20.0  23
1.352  69.5  19
1.195  80.3  17
1.809  50.4  14
1.280  74.1  14
2.216  40.7  12

Crystal structure
```
data_Cs2LiGaBi2
_chemical_formula_sum 'Cs8 Li4 Ga4 Bi8'
_symmetry_space_group_name_H-M 'I b a m'
_symmetry_Int_Tables_number 72
_symmetry_space_group_name_Hall '-I 2 2c'
_cell_length_a 7.2349
_cell_length_b 17.7397
_cell_length_c 7.2404
_cell_angle_alpha 90.00
_cell_angle_beta 90.00
_cell_angle_gamma 90.00
loop_
_atom_site_label
_atom_site_type_symbol
_atom_site_fract_x
_atom_site_fract_y
_atom_site_fract_z
Cs1 Cs 0.2386 0.1656 0.0000
Li1 Li 0.0000 0.0000 0.2500
Ga1 Ga 0.0000 0.5000 0.2500
Bi1 Bi 0.2274 0.4139 0.0000
```